Structure and calculated powder diffraction line list of SnC8N6 (the PBE geometry in the Materials Project; copper Kα).

Top 12 peaks for 10 to 80 degrees two-theta, sorted by position:
2theta, I/Imax, (hkl)
12.80, 100, 1 1 0
18.68, 41, 1 0 1
21.45, 32, 1 1 1
22.26, 38, 3 0 0
22.71, 47, 2 0 1
26.15, 40, 2 1 1
32.01, 33, 3 1 1
34.30, 28, 4 1 0
37.06, 34, 3 2 1
41.57, 30, 3 0 2
43.67, 21, 4 -2 2
49.55, 28, 5 -1 2

Structure:
```
45
Lattice="13.834 0.000 0.000 -6.917 11.981 0.000 0.000 0.000 5.175" Properties=species:S:1:pos:R:3 pbc="T T T"
Sn 0.000 0.000 0.000
Sn 0.000 7.987 2.341
Sn 6.917 3.994 2.341
C -1.361 2.357 3.006
C -1.950 3.378 2.264
C -4.281 7.415 4.459
C -4.930 8.539 5.013
C -2.915 7.462 4.159
C -1.185 4.495 1.895
C 2.721 0.000 3.006
C -2.432 10.759 1.895
C 3.901 0.000 2.264
C 1.987 3.442 5.013
C 4.486 1.221 1.895
C 1.912 5.726 4.159
C 2.636 4.566 4.459
C 4.002 4.519 4.159
C 1.003 10.774 4.159
C 8.562 0.000 4.459
C 7.920 1.207 4.159
C 3.617 8.707 1.895
C 9.860 0.000 5.013
C 4.967 8.603 2.264
C 5.732 7.485 1.895
C 5.556 9.624 3.006
C 10.534 3.274 1.895
C 8.829 6.255 4.159
N -0.858 1.487 3.608
N -5.470 9.475 0.293
N 1.717 0.000 3.608
N -1.765 7.485 3.924
N -0.532 5.419 1.585
N 1.447 2.506 0.293
N -1.959 9.732 1.585
N 1.317 6.710 3.924
N 0.448 9.767 3.924
N 4.958 2.249 1.585
N 2.490 8.811 1.585
N 5.152 4.496 3.924
N 7.365 2.214 3.924
N 6.386 6.562 1.585
N 10.941 0.000 0.293
N 9.407 3.170 1.585
N 8.234 5.271 3.924
N 6.059 10.494 3.608
```


Structure and calculated powder diffraction line list of SnC2N2 (the PBE geometry in the Materials Project; copper Kα).

Top 12 peaks for 10 to 80 degrees two-theta, sorted by position:
2theta, I/Imax, (hkl)
19.95, 100, 1 2 1
21.74, 16, 0 0 2
22.69, 23, 2 0 0
24.71, 13, 0 4 0
31.63, 13, 2 0 2
33.14, 19, 0 4 2
33.80, 12, 2 4 0
35.18, 8, 0 2 3
37.08, 20, 1 2 3
38.26, 21, 3 2 1
40.54, 17, 2 4 2
40.82, 20, 1 6 1

Structure:
```
40
Lattice="7.838 0.000 0.000 0.000 14.410 0.000 0.000 0.000 8.177" Properties=species:S:1:pos:R:3 pbc="T T T"
Sn 1.803 1.722 0.219
Sn 1.803 5.483 4.308
Sn 2.116 8.926 0.219
Sn 2.116 12.688 4.308
Sn 5.721 1.722 3.869
Sn 5.721 5.483 7.957
Sn 6.035 8.926 3.869
Sn 6.035 12.688 7.957
C 0.364 8.409 3.374
C 0.364 13.206 7.462
C 1.121 2.910 6.488
C 1.121 4.295 2.400
C 2.798 10.115 6.488
C 2.798 11.499 2.400
C 3.555 1.204 3.374
C 3.555 6.001 7.462
C 4.283 8.409 0.715
C 4.283 13.206 4.803
C 5.040 2.910 5.777
C 5.040 4.295 1.688
C 6.717 10.115 5.777
C 6.717 11.499 1.688
C 7.474 1.204 0.715
C 7.474 6.001 4.803
N 1.196 3.571 5.523
N 1.196 3.633 1.435
N 1.377 7.955 2.986
N 1.377 13.659 7.074
N 2.542 0.750 2.986
N 2.542 6.454 7.074
N 2.723 10.776 5.523
N 2.723 10.838 1.435
N 5.115 3.571 6.742
N 5.115 3.633 2.654
N 5.296 7.955 1.103
N 5.296 13.659 5.191
N 6.461 0.750 1.103
N 6.461 6.454 5.191
N 6.642 10.776 6.742
N 6.642 10.838 2.654
```


Structure and calculated powder diffraction line list of SnC8N6 (the PBE geometry in the Materials Project; copper Kα).

Top 12 peaks for 10 to 80 degrees two-theta, sorted by position:
2theta, I/Imax, (hkl)
13.05, 59, 1 0 1
15.47, 26, 0 0 2
20.29, 100, 1 1 1
21.10, 19, 2 0 0
21.94, 46, 0 1 2
25.61, 28, 1 0 3
30.62, 37, 2 1 2
33.98, 18, 1 2 1
35.03, 17, 0 1 4
37.99, 29, 2 0 4
40.81, 25, 1 0 5
41.25, 29, 2 2 2

Structure:
```
30
Lattice="8.422 0.000 0.000 0.000 5.727 0.000 0.000 0.000 11.459" Properties=species:S:1:pos:R:3 pbc="T T T"
Sn 0.000 0.000 0.000
Sn 4.211 0.000 5.729
C 0.000 2.300 2.987
C 0.000 2.349 7.573
C 0.000 3.378 3.886
C 0.000 3.428 8.472
C 1.209 1.803 7.118
C 1.209 3.924 4.341
C 3.002 1.803 10.070
C 3.002 3.924 1.389
C 4.211 2.300 2.742
C 4.211 2.349 9.616
C 4.211 3.378 1.843
C 4.211 3.428 8.717
C 5.420 1.803 10.070
C 5.420 3.924 1.389
C 7.214 1.803 7.118
C 7.214 3.924 4.341
N 0.000 1.388 2.249
N 0.000 4.340 9.210
N 1.994 1.351 10.460
N 1.994 4.377 0.999
N 2.217 1.351 6.728
N 2.217 4.377 4.731
N 4.211 1.388 3.480
N 4.211 4.340 7.979
N 6.205 1.351 6.728
N 6.205 4.377 4.731
N 6.428 1.351 10.460
N 6.428 4.377 0.999
```


Structure and calculated powder diffraction line list of Sn11C2N10 (the PBE geometry in the Materials Project; copper Kα).

Top 12 peaks for 10 to 80 degrees two-theta, sorted by position:
2theta, I/Imax, (hkl)
12.00, 46, 2 1 0
27.57, 100, 5 1 0
30.66, 44, 4 4 0
32.13, 85, 3 1 1
33.03, 19, 6 1 0
33.51, 74, 3 2 1
44.29, 32, 6 2 1
48.77, 15, 7 2 1
50.42, 23, 7 3 1
52.65, 17, 8 1 1
55.77, 19, 0 0 2
63.34, 20, 5 1 2

Structure:
```
46
Lattice="16.495 0.000 0.000 0.000 16.495 0.000 0.000 0.000 3.296" Properties=species:S:1:pos:R:3 pbc="T T T"
Sn 0.000 0.000 0.000
Sn 0.651 3.265 1.648
Sn 1.727 10.127 0.000
Sn 1.879 6.521 1.648
Sn 3.265 0.651 1.648
Sn 3.712 3.712 0.000
Sn 4.535 11.960 1.648
Sn 4.983 8.898 0.000
Sn 6.368 14.769 0.000
Sn 6.521 1.879 1.648
Sn 7.597 11.513 0.000
Sn 8.248 8.248 1.648
Sn 8.898 4.983 0.000
Sn 9.974 14.616 1.648
Sn 10.127 1.727 0.000
Sn 11.513 7.597 0.000
Sn 11.960 4.535 1.648
Sn 12.783 12.783 0.000
Sn 13.230 15.845 1.648
Sn 14.616 9.974 1.648
Sn 14.769 6.368 0.000
Sn 15.845 13.230 1.648
C 2.590 13.905 0.000
C 5.657 5.657 1.648
C 10.838 10.838 1.648
C 13.905 2.590 0.000
N 1.742 14.753 0.000
N 2.059 5.159 0.000
N 2.714 2.714 1.648
N 3.089 10.307 1.648
N 3.489 13.007 0.000
N 4.759 4.759 1.648
N 5.159 2.059 0.000
N 5.534 10.961 0.000
N 6.188 13.407 1.648
N 6.506 6.506 1.648
N 9.990 9.990 1.648
N 10.307 3.089 1.648
N 10.961 5.534 0.000
N 11.336 14.436 0.000
N 11.736 11.736 1.648
N 13.007 3.489 0.000
N 13.407 6.188 1.648
N 13.782 13.782 1.648
N 14.436 11.336 0.000
N 14.753 1.742 0.000
```


Structure and calculated powder diffraction line list of SrC8N6 (the PBE geometry in the Materials Project; copper Kα).

Top 12 peaks for 10 to 80 degrees two-theta, sorted by position:
2theta, I/Imax, (hkl)
13.02, 46, 1 0 1
20.10, 100, 1 1 1
21.10, 17, 2 0 0
21.73, 51, 0 1 2
24.19, 16, 1 1 2
25.51, 27, 1 0 3
27.27, 17, 2 1 1
27.86, 25, 0 1 3
30.47, 39, 2 1 2
37.60, 16, 2 2 0
40.38, 17, 1 2 3
40.85, 18, 2 2 2

Structure:
```
30
Lattice="8.422 0.000 0.000 0.000 5.813 0.000 0.000 0.000 11.512" Properties=species:S:1:pos:R:3 pbc="T T T"
Sr 0.000 0.000 0.000
Sr 4.211 0.000 5.756
C 0.000 2.377 2.971
C 0.000 2.390 7.605
C 0.000 3.423 3.908
C 0.000 3.436 8.541
C 1.206 1.841 7.145
C 1.206 3.971 4.367
C 3.005 1.841 10.123
C 3.005 3.971 1.389
C 4.211 2.377 2.785
C 4.211 2.390 9.664
C 4.211 3.423 1.849
C 4.211 3.436 8.727
C 5.417 1.841 10.123
C 5.417 3.971 1.389
C 7.216 1.841 7.145
C 7.216 3.971 4.367
N 0.000 1.511 2.181
N 0.000 4.302 9.331
N 2.007 1.372 10.519
N 2.007 4.441 0.994
N 2.204 1.372 6.750
N 2.204 4.441 4.762
N 4.211 1.511 3.575
N 4.211 4.302 7.937
N 6.218 1.372 6.750
N 6.218 4.441 4.762
N 6.415 1.372 10.519
N 6.415 4.441 0.994
```


Structure and calculated powder diffraction line list of Sr4CN4 (the PBE geometry in the Materials Project; copper Kα).

Top 12 peaks for 10 to 80 degrees two-theta, sorted by position:
2theta, I/Imax, (hkl)
27.24, 18, 1 1 2
28.90, 29, 4 0 0
30.03, 100, 2 1 2
30.56, 20, 1 1 3
31.57, 23, 1 0 5
32.84, 25, 3 0 4
34.04, 17, 2 0 5
36.98, 29, 3 1 3
45.38, 17, 5 1 2
47.36, 18, 0 2 0
49.87, 21, 0 1 7
58.67, 14, 4 1 7

Structure:
```
36
Lattice="12.359 0.000 0.000 0.000 3.839 0.000 0.000 0.000 14.556" Properties=species:S:1:pos:R:3 pbc="T T T"
Sr 1.154 0.960 2.700
Sr 1.399 2.879 5.874
Sr 1.546 2.879 14.087
Sr 1.982 0.960 11.085
Sr 4.198 2.879 3.807
Sr 4.633 0.960 6.809
Sr 4.781 0.960 13.152
Sr 5.026 2.879 9.978
Sr 7.333 0.960 4.578
Sr 7.578 2.879 1.404
Sr 7.726 2.879 7.747
Sr 8.161 0.960 10.749
Sr 10.378 2.879 3.471
Sr 10.813 0.960 0.469
Sr 10.961 0.960 8.682
Sr 11.206 2.879 11.856
C 1.847 2.879 8.686
C 4.333 0.960 1.407
C 8.026 2.879 13.149
C 10.513 0.960 5.871
N 0.176 0.960 12.800
N 0.685 2.879 9.140
N 2.716 0.960 4.815
N 2.989 2.879 8.196
N 3.190 0.960 0.918
N 3.464 2.879 12.093
N 5.495 0.960 1.862
N 6.004 2.879 5.521
N 6.355 0.960 9.035
N 6.864 2.879 12.694
N 8.895 0.960 2.463
N 9.169 2.879 13.638
N 9.370 0.960 6.360
N 9.644 2.879 9.742
N 11.675 0.960 5.416
N 12.184 2.879 1.757
```


Structure and calculated powder diffraction line list of SrC8N6 (the PBE geometry in the Materials Project; copper Kα).

Top 12 peaks for 10 to 80 degrees two-theta, sorted by position:
2theta, I/Imax, (hkl)
12.21, 100, 1 1 0
21.23, 46, 3 0 0
24.45, 57, 2 -1 1
25.47, 25, 2 0 1
28.34, 17, 2 1 1
30.11, 14, 3 0 1
32.66, 54, 4 1 0
33.39, 28, 3 1 1
37.84, 17, 3 2 1
39.23, 19, 5 -1 1
43.21, 18, 6 0 0
43.59, 14, 1 0 2

Structure:
```
45
Lattice="14.498 0.000 0.000 -7.249 12.556 0.000 0.000 0.000 4.211" Properties=species:S:1:pos:R:3 pbc="T T T"
Sr 0.000 0.000 0.000
Sr 0.000 8.370 1.300
Sr 7.249 4.185 1.300
C -1.463 2.534 1.893
C -2.138 3.703 1.556
C -4.569 7.913 3.616
C -5.261 9.113 3.897
C -1.437 4.905 1.392
C -3.171 7.947 3.476
C 2.927 0.000 1.893
C 1.988 3.443 3.897
C -2.282 11.348 1.392
C 4.276 0.000 1.556
C 1.953 5.836 3.476
C 2.680 4.643 3.616
C 4.967 1.208 1.392
C 4.078 4.609 3.476
C 1.219 11.329 3.476
C 3.719 8.858 1.392
C 9.137 0.000 3.616
C 8.468 1.227 3.476
C 5.111 8.853 1.556
C 5.812 7.650 1.392
C 10.523 0.000 3.897
C 5.786 10.021 1.893
C 9.202 6.720 3.476
C 10.968 3.697 1.392
N -0.892 1.545 2.166
N -5.835 10.107 4.135
N 1.784 0.000 2.166
N -0.879 5.923 1.254
N -2.003 8.017 3.366
N 1.414 2.449 4.135
N -1.680 10.355 1.254
N 1.307 6.813 3.366
N 0.696 10.281 3.366
N 5.569 2.201 1.254
N 2.559 8.833 1.254
N 5.246 4.538 3.366
N 7.945 2.274 3.366
N 6.370 6.632 1.254
N 11.671 0.000 4.135
N 8.556 5.743 3.366
N 9.808 3.723 1.254
N 6.357 11.010 2.166
```